Record 1
Li3YCr2S6: theoretical powder XRD pattern (λ = 1.5418 Å (Cu Kα)), based on a structure optimized by DFT (GGA-PBE).
Lines closer than 0.1° are merged.

The 8 most intense peaks (10° ≤ 2θ ≤ 90°), sorted by position:
- d = 6.098 Å, 2θ 14.52, rel. 77
- d = 3.093 Å, 2θ 28.86, rel. 32
- d = 2.588 Å, 2θ 34.66, rel. 100
- d = 2.008 Å, 2θ 45.14, rel. 15
- d = 1.848 Å, 2θ 49.30, rel. 33
- d = 1.812 Å, 2θ 50.36, rel. 29
- d = 1.737 Å, 2θ 52.70, rel. 14
- d = 1.484 Å, 2θ 62.58, rel. 14

Structural model:
Cell: 6.2764 6.2764 6.4484 Å, 99.35 99.35 119.98°
Fractional coordinates of all 12 atoms:
Li 0.0000 0.0000 0.0000
Li 0.3343 0.6657 0.0000
Li 0.6657 0.3343 0.0000
Y 0.5000 0.5000 0.5000
Cr 0.1670 0.8330 0.5000
Cr 0.8330 0.1670 0.5000
S 0.0574 0.4229 0.2681
S 0.2138 0.2138 0.7350
S 0.4229 0.0574 0.2681
S 0.5771 0.9426 0.7319
S 0.7862 0.7862 0.2650
S 0.9426 0.5771 0.7319

Record 2
KTaCu2Br8: theoretical powder XRD pattern (λ = 1.5418 Å (Cu Kα)), based on a structure optimized by DFT (GGA-PBE).
Lines closer than 0.1° are merged.

The 8 most intense peaks (10° ≤ 2θ ≤ 90°), sorted by position:
- d = 5.500 Å, 2θ 16.12, rel. 55
- d = 4.678 Å, 2θ 18.97, rel. 100
- d = 4.332 Å, 2θ 20.50, rel. 49
- d = 3.217 Å, 2θ 27.73, rel. 74
- d = 3.097 Å, 2θ 28.82, rel. 44
- d = 2.463 Å, 2θ 36.49, rel. 58
- d = 2.142 Å, 2θ 42.19, rel. 68
- d = 1.857 Å, 2θ 49.05, rel. 54

Structural model:
Cell: 12.0693 12.0693 12.0693 Å, 30.91 30.91 30.91°
Fractional coordinates of all 12 atoms:
K 0.0000 0.0000 0.0000
Ta 0.5000 0.5000 0.5000
Cu 0.2408 0.2408 0.2408
Cu 0.7592 0.7592 0.7592
Br 0.1552 0.4344 0.7663
Br 0.2337 0.5656 0.8448
Br 0.3082 0.3082 0.3082
Br 0.4344 0.7663 0.1552
Br 0.5656 0.8448 0.2337
Br 0.6918 0.6918 0.6918
Br 0.7663 0.1552 0.4344
Br 0.8448 0.2337 0.5656

Record 3
CsRb4Na: theoretical powder XRD pattern (λ = 1.5418 Å (Cu Kα)), based on a structure optimized by DFT (GGA-PBE).
Lines closer than 0.1° are merged.

The 8 most intense peaks (10° ≤ 2θ ≤ 90°), sorted by position:
- d = 4.980 Å, 2θ 17.81, rel. 68
- d = 4.508 Å, 2θ 19.69, rel. 37
- d = 4.130 Å, 2θ 21.52, rel. 95
- d = 4.007 Å, 2θ 22.18, rel. 70
- d = 3.974 Å, 2θ 22.37, rel. 84
- d = 3.944 Å, 2θ 22.54, rel. 100
- d = 3.925 Å, 2θ 22.65, rel. 99
- d = 3.186 Å, 2θ 28.01, rel. 34

Structural model:
Cell: 13.2920 13.2920 8.2596 Å, 107.60 107.60 49.24°
Fractional coordinates of all 12 atoms:
Cs 0.2070 0.2070 0.2077
Cs 0.7930 0.7930 0.7923
Rb 0.1093 0.6594 0.3845
Rb 0.1975 0.8025 0.0000
Rb 0.3330 0.3330 0.8335
Rb 0.3406 0.8907 0.6155
Rb 0.6594 0.1093 0.3845
Rb 0.6670 0.6670 0.1665
Rb 0.8025 0.1975 0.0000
Rb 0.8907 0.3406 0.6155
Na 0.5002 0.5002 0.2845
Na 0.4998 0.4998 0.7155

Record 4
La2TlP: theoretical powder XRD pattern (λ = 1.5418 Å (Cu Kα)), based on a structure optimized by DFT (GGA-PBE).
Lines closer than 0.1° are merged.

The 8 most intense peaks (10° ≤ 2θ ≤ 90°), sorted by position:
- d = 3.584 Å, 2θ 24.84, rel. 22
- d = 3.129 Å, 2θ 28.53, rel. 100
- d = 2.927 Å, 2θ 30.55, rel. 30
- d = 2.357 Å, 2θ 38.18, rel. 36
- d = 2.091 Å, 2θ 43.26, rel. 35
- d = 1.739 Å, 2θ 52.64, rel. 18
- d = 1.667 Å, 2θ 55.10, rel. 19
- d = 1.337 Å, 2θ 70.43, rel. 15

Structural model:
Cell: 8.6228 8.6228 8.6228 Å, 28.07 28.07 28.07°
Fractional coordinates of all 4 atoms:
La 0.2350 0.2350 0.2350
La 0.7650 0.7650 0.7650
Tl 0.0000 0.0000 0.0000
P 0.5000 0.5000 0.5000

Record 5
PrLu2Rh: theoretical powder XRD pattern (λ = 1.5418 Å (Cu Kα)), based on a structure optimized by DFT (GGA-PBE).
Lines closer than 0.1° are merged.

The 8 most intense peaks (10° ≤ 2θ ≤ 90°), sorted by position:
- d = 8.702 Å, 2θ 10.16, rel. 19
- d = 3.198 Å, 2θ 27.90, rel. 21
- d = 2.698 Å, 2θ 33.21, rel. 100
- d = 2.431 Å, 2θ 36.97, rel. 57
- d = 2.217 Å, 2θ 40.69, rel. 21
- d = 1.863 Å, 2θ 48.88, rel. 20
- d = 1.719 Å, 2θ 53.28, rel. 20
- d = 1.450 Å, 2θ 64.24, rel. 34

Structural model:
Cell: 3.4384 3.4384 8.7024 Å, 90.00 90.00 90.00°
Fractional coordinates of all 4 atoms:
Pr 0.0000 0.0000 0.0000
Lu 0.5000 0.5000 0.3161
Lu 0.5000 0.5000 0.6839
Rh 0.0000 0.0000 0.5000

Record 6
MgZn2H12Br6O6: theoretical powder XRD pattern (λ = 1.5418 Å (Cu Kα)), based on a structure optimized by DFT (GGA-PBE).
Lines closer than 0.1° are merged.

The 8 most intense peaks (10° ≤ 2θ ≤ 90°), sorted by position:
- d = 7.520 Å, 2θ 11.77, rel. 35
- d = 6.227 Å, 2θ 14.22, rel. 58
- d = 4.010 Å, 2θ 22.17, rel. 37
- d = 3.760 Å, 2θ 23.66, rel. 43
- d = 3.287 Å, 2θ 27.13, rel. 41
- d = 3.178 Å, 2θ 28.08, rel. 100
- d = 2.735 Å, 2θ 32.75, rel. 40
- d = 2.109 Å, 2θ 42.89, rel. 55

Structural model:
Cell: 8.4825 8.4825 8.4825 Å, 125.25 104.92 99.52°
Fractional coordinates of all 27 atoms:
Mg 0.0000 0.0000 0.0000
Zn 0.3472 0.8472 0.5000
Zn 0.6528 0.1528 0.5000
H 0.0861 0.1948 0.4229
H 0.0861 0.6632 0.8913
H 0.1632 0.2409 0.9223
H 0.2282 0.3368 0.4229
H 0.2282 0.8052 0.8913
H 0.3187 0.2409 0.0777
H 0.6813 0.7591 0.9223
H 0.7718 0.1948 0.1087
H 0.7718 0.6632 0.5771
H 0.8368 0.7591 0.0777
H 0.9139 0.3368 0.1087
H 0.9139 0.8052 0.5771
Br 0.0264 0.7146 0.3118
Br 0.4029 0.7146 0.6882
Br 0.5000 0.2361 0.7361
Br 0.5000 0.7639 0.2639
Br 0.5971 0.2854 0.3118
Br 0.9736 0.2854 0.6882
O 0.1432 0.1910 0.3342
O 0.1432 0.8090 0.9521
O 0.1896 0.1896 0.0000
O 0.8104 0.8104 0.0000
O 0.8568 0.1910 0.0479
O 0.8568 0.8090 0.6658